This entry pairs a crystal structure of La3BeGaS7 with its simulated powder XRD pattern. Radiation: Cu Kα. Structure: a structure optimized by DFT (GGA-PBE).
Peak positions follow from Bragg's law for the DFT cell and can differ from measured ones.

Structure:
```
data_La3BeGaS7
_chemical_formula_sum 'La6 Be2 Ga2 S14'
_space_group_name_H-M_alt 'P 63'
_space_group_IT_number 173
_cell_length_a 10.2029
_cell_length_b 10.2029
_cell_length_c 6.0300
_cell_angle_alpha 90.00
_cell_angle_beta 90.00
_cell_angle_gamma 120.00
loop_
_space_group_symop_operation_xyz
'x,y,z'
'x-y,x,z+1/2'
'-y,x-y,z'
'-x,-y,z+1/2'
'-x+y,-x,z'
'y,-x+y,z+1/2'
loop_
_atom_site_label
_atom_site_type_symbol
_atom_site_fract_x
_atom_site_fract_y
_atom_site_fract_z
La1 La 0.1381 0.7470 0.0000
Be1 Be 0.3333 0.6667 0.5860
Ga1 Ga 0.0000 0.0000 0.2363
S1 S 0.0781 0.8554 0.4700
S2 S 0.1134 0.5196 0.7166
S3 S 0.3333 0.6667 0.2352
```

Peak list (10 most intense, 15 to 90 degrees two-theta, in order of rising 2θ)
(1 0 1), 17.81 deg, I 82; (1 1 1), 22.83 deg, I 65; (2 0 1), 24.99 deg, I 97; (2 1 0), 26.69 deg, I 100; (3 0 1), 33.87 deg, I 75; (1 1 2), 34.56 deg, I 43; (2 0 2), 36.07 deg, I 52; (1 3 1), 39.70 deg, I 74; (2 1 2), 40.30 deg, I 69; (4 1 1), 49.64 deg, I 36